Record 1
Structure and theoretical X-ray diffraction stick pattern of MgCr (a structure optimized by DFT (PBE); λ = 1.5418 Å (Cu Kα)).

The 11 most intense peaks (2θ from 5° to 70°), in order of falling intensity:
two_theta  intensity
37.21  100
40.35  39
64.94  17
28.23  14
58.39  12
48.58  11
23.74  11
47.35  6
57.14  3
63.92  2
66.09  2

Crystal structure
a = 3.1611 Å, b = 3.1611 Å, c = 3.7479 Å
α = 90.00°, β = 90.00°, γ = 90.00°
Space group P4/mmm (No. 123)
Unique sites:
Mg1 0.0000 0.0000 0.0000 (multiplicity 1)
Cr1 0.5000 0.5000 0.5000 (multiplicity 1)


Record 2
Structure and theoretical X-ray diffraction stick pattern of Er2CuAu (a structure optimized by DFT (PBE); λ = 1.5418 Å (Cu Kα)).

The 9 most intense peaks (2θ from 5° to 70°), in order of falling intensity:
two_theta  intensity
36.25  100
65.21  36
52.20  18
21.96  11
42.79  6
57.30  3
69.71  2
25.42  1
58.93  1

Crystal structure
a = 7.0090 Å, b = 7.0090 Å, c = 7.0090 Å
α = 90.00°, β = 90.00°, γ = 90.00°
Space group Fm-3m (No. 225)
Unique sites:
Er1 0.2500 0.2500 0.2500 (multiplicity 8)
Cu1 0.0000 0.0000 0.0000 (multiplicity 4)
Au1 0.0000 0.0000 0.5000 (multiplicity 4)


Record 3
Structure and theoretical X-ray diffraction stick pattern of Sm3Ge5 (a structure optimized by DFT (PBE); λ = 1.5418 Å (Cu Kα)).

The 12 most intense peaks (2θ from 5° to 70°), in order of falling intensity:
two_theta  intensity
32.99  100
44.71  31
63.15  21
25.37  19
56.67  16
42.19  15
40.64  7
49.87  6
31.22  5
52.10  4
69.19  4
51.00  4

Crystal structure
a = 7.0215 Å, b = 7.0215 Å, c = 8.5683 Å
α = 90.00°, β = 90.00°, γ = 120.00°
Space group P-62c (No. 190)
Unique sites:
Sm1 0.0000 0.3314 0.0000 (multiplicity 6)
Ge1 0.0000 0.0000 0.2500 (multiplicity 2)
Ge2 0.0645 0.6687 0.2500 (multiplicity 6)
Ge3 0.3333 0.6667 0.7500 (multiplicity 2)


Record 4
Structure and theoretical X-ray diffraction stick pattern of Ni7Ge4 (a structure optimized by DFT (PBE); λ = 1.5418 Å (Cu Kα)).

The 12 most intense peaks (2θ from 5° to 70°), in order of falling intensity:
two_theta  intensity
45.71  100
44.73  97
65.88  28
31.55  9
59.39  9
8.82  9
35.81  6
27.43  6
37.53  5
25.92  3
17.69  3
56.61  2

Crystal structure
a = 3.9694 Å, b = 3.9694 Å, c = 10.0302 Å
α = 90.00°, β = 90.00°, γ = 120.00°
Space group P-6m2 (No. 187)
Unique sites:
Ni1 0.0000 0.0000 0.0000 (multiplicity 1)
Ni2 0.3333 0.6667 0.1272 (multiplicity 2)
Ni3 0.3333 0.6667 0.3791 (multiplicity 2)
Ni4 0.6667 0.3333 0.2545 (multiplicity 2)
Ge1 0.0000 0.0000 0.2565 (multiplicity 2)
Ge2 0.6667 0.3333 0.0000 (multiplicity 1)
Ge3 0.6667 0.3333 0.5000 (multiplicity 1)


Record 5
Structure and theoretical X-ray diffraction stick pattern of Sc5Re24 (a structure optimized by DFT (PBE); λ = 1.5418 Å (Cu Kα)).

The 12 most intense peaks (2θ from 5° to 70°), in order of falling intensity:
two_theta  intensity
39.15  100
43.48  41
47.49  41
22.31  16
36.83  11
12.82  11
67.89  10
45.52  9
25.81  7
66.34  6
51.26  2
54.83  2

Crystal structure
a = 9.7625 Å, b = 9.7625 Å, c = 9.7625 Å
α = 90.00°, β = 90.00°, γ = 90.00°
Space group I-43m (No. 217)
Unique sites:
Sc1 0.0000 0.0000 0.0000 (multiplicity 2)
Sc2 0.1832 0.1832 0.1832 (multiplicity 8)
Re1 0.0377 0.3602 0.6398 (multiplicity 24)
Re2 0.0927 0.0927 0.7150 (multiplicity 24)


Record 6
Structure and theoretical X-ray diffraction stick pattern of La3Ga5SiO14 (a structure optimized by DFT (PBE); λ = 1.5418 Å (Cu Kα)).

The 12 most intense peaks (2θ from 5° to 70°), in order of falling intensity:
two_theta  intensity
27.68  100
30.42  92
48.84  37
33.12  33
49.20  29
59.06  22
45.71  20
34.85  18
37.56  17
59.76  14
52.29  13
37.71  12

Crystal structure
a = 8.2629 Å, b = 8.2629 Å, c = 5.1487 Å
α = 90.00°, β = 90.00°, γ = 120.00°
Space group P3 (No. 143)
Unique sites:
La1 0.0867 0.3421 0.0000 (multiplicity 3)
Ga1 0.3333 0.6667 0.4691 (multiplicity 1)
Ga2 0.4283 0.3311 0.4904 (multiplicity 3)
Ga3 0.6667 0.3333 0.9937 (multiplicity 1)
Si1 0.0000 0.0000 0.5381 (multiplicity 1)
O1 0.0000 0.0000 0.2216 (multiplicity 1)
O2 0.1252 0.6471 0.2989 (multiplicity 3)
O3 0.1921 0.1721 0.6721 (multiplicity 3)
O4 0.3333 0.6667 0.8221 (multiplicity 1)
O5 0.4444 0.1874 0.2302 (multiplicity 3)
O6 0.5280 0.1088 0.7582 (multiplicity 3)


Record 7
Structure and theoretical X-ray diffraction stick pattern of LaF3 (a structure optimized by DFT (PBE); λ = 1.5418 Å (Cu Kα)).

The 12 most intense peaks (2θ from 5° to 70°), in order of falling intensity:
two_theta  intensity
27.42  100
44.47  55
43.26  45
24.08  37
50.12  33
24.58  27
51.99  19
69.87  16
63.78  16
67.66  12
68.56  10
34.68  9

Crystal structure
a = 7.2444 Å, b = 7.2444 Å, c = 7.3910 Å
α = 90.00°, β = 90.00°, γ = 120.00°
Space group P6_3cm (No. 185)
Unique sites:
La1 0.0000 0.3263 0.0000 (multiplicity 6)
F1 0.0000 0.0000 0.0698 (multiplicity 2)
F2 0.0000 0.2774 0.3310 (multiplicity 6)
F3 0.0000 0.3795 0.6714 (multiplicity 6)
F4 0.3333 0.6667 0.4580 (multiplicity 4)